Computed powder diffraction line list of Tb12Sm6Y for copper Kα, from a cell relaxed with GGA-PBE.
Peak positions follow from Bragg's law for the DFT cell and can differ from measured ones.

Principal peaks in the range 2θ from 10° to 90°, low angle first:
d = 3.808 Å, 2θ 23.4, I 12; d = 2.916 Å, 2θ 30.7, I 41; d = 2.862 Å, 2θ 31.3, I 24; d = 2.836 Å, 2θ 31.5, I 100; d = 2.732 Å, 2θ 32.8, I 68; d = 2.698 Å, 2θ 33.2, I 25; d = 2.584 Å, 2θ 34.7, I 15; d = 2.021 Å, 2θ 44.8, I 15; d = 1.667 Å, 2θ 55.1, I 19; d = 1.592 Å, 2θ 57.9, I 13

Structural model:
a b c (Å): 12.0189 12.0189 15.1880
angles (deg): 90.00 90.00 120.00
Space group R-3 (No. 148, hexagonal axes)
Inequivalent atoms, fractional coordinates:
Tb 0.0122 0.8347 0.1911
Tb 0.0439 0.8531 0.4159
Sm 0.0104 0.4214 0.6810
Y 0.0000 0.0000 0.0000

Computed powder diffraction line list of Tb4Sm3Y4 for copper Kα, from a cell relaxed with GGA-PBE.
Peak positions follow from Bragg's law for the DFT cell and can differ from measured ones.

Principal peaks in the range 2θ from 10° to 90°, low angle first:
d = 2.914 Å, 2θ 30.7, I 51; d = 2.854 Å, 2θ 31.3, I 37; d = 2.798 Å, 2θ 32.0, I 100; d = 2.650 Å, 2θ 33.8, I 15; d = 2.037 Å, 2θ 44.5, I 12; d = 1.942 Å, 2θ 46.8, I 12; d = 1.736 Å, 2θ 52.7, I 11; d = 1.637 Å, 2θ 56.2, I 23; d = 1.498 Å, 2θ 61.9, I 14; d = 1.483 Å, 2θ 62.6, I 13

Structural model:
a b c (Å): 10.6016 5.7087 12.0985
angles (deg): 90.00 90.00 90.00
Space group Amm2 (No. 38)
Inequivalent atoms, fractional coordinates:
Tb 0.0000 0.0000 0.0000
Tb 0.2107 0.0000 0.7977
Tb 0.5000 0.0000 0.9294
Sm 0.0000 0.0000 0.2964
Sm 0.2970 0.0000 0.4454
Y 0.0000 0.0000 0.5952
Y 0.2926 0.0000 0.1416
Y 0.5000 0.0000 0.6589

Computed powder diffraction line list of TbSm3Y4 for copper Kα, from a cell relaxed with GGA-PBE.
Peak positions follow from Bragg's law for the DFT cell and can differ from measured ones.

Principal peaks in the range 2θ from 10° to 90°, low angle first:
d = 5.720 Å, 2θ 15.5, I 14; d = 3.089 Å, 2θ 28.9, I 45; d = 2.907 Å, 2θ 30.8, I 100; d = 2.860 Å, 2θ 31.3, I 45; d = 2.718 Å, 2θ 33.0, I 66; d = 2.098 Å, 2θ 43.1, I 27; d = 1.794 Å, 2θ 50.9, I 17; d = 1.660 Å, 2θ 55.3, I 17; d = 1.577 Å, 2θ 58.5, I 19; d = 1.491 Å, 2θ 62.3, I 27

Structural model:
a b c (Å): 3.4731 6.7524 22.8799
angles (deg): 90.00 90.00 90.00
Space group Immm (No. 71)
Inequivalent atoms, fractional coordinates:
Tb 0.0000 0.0000 0.0000
Sm 0.0000 0.0000 0.2603
Sm 0.0000 0.0000 0.5000
Y 0.0000 0.2544 0.1244

Computed powder diffraction line list of Tb3Sm5Y4 for copper Kα, from a cell relaxed with GGA-PBE.
Peak positions follow from Bragg's law for the DFT cell and can differ from measured ones.

Principal peaks in the range 2θ from 10° to 90°, low angle first:
d = 3.680 Å, 2θ 24.2, I 23; d = 3.110 Å, 2θ 28.7, I 29; d = 3.044 Å, 2θ 29.3, I 30; d = 2.968 Å, 2θ 30.1, I 100; d = 2.882 Å, 2θ 31.0, I 49; d = 2.835 Å, 2θ 31.6, I 43; d = 2.772 Å, 2θ 32.3, I 76; d = 2.740 Å, 2θ 32.7, I 24; d = 2.674 Å, 2θ 33.5, I 70; d = 2.068 Å, 2θ 43.8, I 39

Structural model:
a b c (Å): 16.2431 5.9364 9.3580
angles (deg): 90.00 116.84 90.00
Space group C2/m (No. 12)
Inequivalent atoms, fractional coordinates:
Tb 0.0000 0.0000 0.0000
Tb 0.2087 0.5000 0.2302
Sm 0.0000 0.5000 0.0000
Sm 0.0760 0.0000 0.7001
Sm 0.1735 0.0000 0.3854
Y 0.0803 0.5000 0.4381
Y 0.2139 0.5000 0.8783

Computed powder diffraction line list of Tb2Sm9Y for copper Kα, from a cell relaxed with GGA-PBE.
Peak positions follow from Bragg's law for the DFT cell and can differ from measured ones.

Principal peaks in the range 2θ from 10° to 90°, low angle first:
d = 2.949 Å, 2θ 30.3, I 100; d = 2.554 Å, 2θ 35.1, I 51; d = 1.806 Å, 2θ 50.5, I 36; d = 1.540 Å, 2θ 60.1, I 43; d = 1.475 Å, 2θ 63.0, I 12; d = 1.277 Å, 2θ 74.3, I 6; d = 1.172 Å, 2θ 82.3, I 18; d = 1.142 Å, 2θ 84.9, I 16

Structural model:
a b c (Å): 5.1083 5.1083 15.3208
angles (deg): 90.00 90.00 90.00
Space group P4/mmm (No. 123)
Inequivalent atoms, fractional coordinates:
Tb 0.0000 0.0000 0.1667
Sm 0.0000 0.5000 0.0000
Sm 0.0000 0.5000 0.3328
Sm 0.5000 0.5000 0.1665
Sm 0.5000 0.5000 0.5000
Y 0.0000 0.0000 0.5000

Computed powder diffraction line list of Tb7Sm12Y for copper Kα, from a cell relaxed with GGA-PBE.
Peak positions follow from Bragg's law for the DFT cell and can differ from measured ones.

Principal peaks in the range 2θ from 10° to 90°, low angle first:
d = 3.267 Å, 2θ 27.3, I 37; d = 3.046 Å, 2θ 29.3, I 27; d = 2.977 Å, 2θ 30.0, I 100; d = 2.909 Å, 2θ 30.7, I 36; d = 2.735 Å, 2θ 32.7, I 38; d = 2.718 Å, 2θ 33.0, I 38; d = 2.288 Å, 2θ 39.4, I 35; d = 2.258 Å, 2θ 39.9, I 25; d = 1.960 Å, 2θ 46.3, I 22; d = 1.909 Å, 2θ 47.6, I 20

Structural model:
a b c (Å): 19.6023 19.6023 6.1930
angles (deg): 90.00 90.00 120.00
Space group R-3m (No. 166, hexagonal axes)
Inequivalent atoms, fractional coordinates:
Tb 0.0000 0.0000 0.0000
Tb 0.0821 0.1642 0.2908
Sm 0.0000 0.4131 0.0000
Sm 0.0973 0.5486 0.4598
Y 0.0000 0.0000 0.5000

Computed powder diffraction line list of TbSm8Y3 for copper Kα, from a cell relaxed with GGA-PBE.
Peak positions follow from Bragg's law for the DFT cell and can differ from measured ones.

Principal peaks in the range 2θ from 10° to 90°, low angle first:
d = 5.704 Å, 2θ 15.5, I 28; d = 5.659 Å, 2θ 15.7, I 20; d = 2.879 Å, 2θ 31.1, I 51; d = 2.864 Å, 2θ 31.2, I 49; d = 2.848 Å, 2θ 31.4, I 100; d = 2.556 Å, 2θ 35.1, I 50; d = 2.539 Å, 2θ 35.3, I 27; d = 1.805 Å, 2θ 50.6, I 21; d = 1.638 Å, 2θ 56.2, I 19; d = 1.424 Å, 2θ 65.6, I 24

Structural model:
a b c (Å): 6.6041 11.3182 11.5140
angles (deg): 90.00 90.00 90.00
Space group I222 (No. 23)
Inequivalent atoms, fractional coordinates:
Tb 0.0000 0.0000 0.0000
Sm 0.9999 0.1648 0.2501
Sm 0.2497 0.2497 0.0020
Y 0.0000 0.0000 0.5000
Y 0.0000 0.5000 0.2491

Computed powder diffraction line list of TbSm5Y4 for copper Kα, from a cell relaxed with GGA-PBE.
Peak positions follow from Bragg's law for the DFT cell and can differ from measured ones.

Principal peaks in the range 2θ from 10° to 90°, low angle first:
d = 5.372 Å, 2θ 16.5, I 32; d = 3.151 Å, 2θ 28.3, I 19; d = 3.083 Å, 2θ 29.0, I 32; d = 3.054 Å, 2θ 29.2, I 33; d = 2.939 Å, 2θ 30.4, I 67; d = 2.800 Å, 2θ 32.0, I 100; d = 2.686 Å, 2θ 33.4, I 22; d = 2.530 Å, 2θ 35.5, I 71; d = 1.740 Å, 2θ 52.6, I 20; d = 1.527 Å, 2θ 60.6, I 19

Structural model:
a b c (Å): 3.5743 9.2241 11.0319
angles (deg): 102.85 90.04 101.09
Space group P-1 (No. 2)
Inequivalent atoms, fractional coordinates:
Tb 0.0000 0.0000 0.0000
Sm 0.0000 0.0000 0.5000
Sm 0.3324 0.6628 0.4781
Sm 0.3385 0.6742 0.0813
Y 0.1758 0.3557 0.2225
Y 0.4785 0.9562 0.7425

Computed powder diffraction line list of Tb9Sm3Y2 for copper Kα, from a cell relaxed with GGA-PBE.
Peak positions follow from Bragg's law for the DFT cell and can differ from measured ones.

Principal peaks in the range 2θ from 10° to 90°, low angle first:
d = 2.869 Å, 2θ 31.2, I 91; d = 2.847 Å, 2θ 31.4, I 100; d = 2.704 Å, 2θ 33.1, I 27; d = 2.696 Å, 2θ 33.2, I 28; d = 2.617 Å, 2θ 34.3, I 35; d = 1.880 Å, 2θ 48.4, I 22; d = 1.751 Å, 2θ 52.2, I 13; d = 1.697 Å, 2θ 54.1, I 11; d = 1.555 Å, 2θ 59.4, I 13; d = 1.490 Å, 2θ 62.3, I 13

Structural model:
a b c (Å): 6.2979 8.7447 8.8709
angles (deg): 79.76 76.00 87.01
Space group P1 (No. 1)
Inequivalent atoms, fractional coordinates:
Tb 0.0000 0.0000 0.0000
Tb 0.0136 0.5204 0.1673
Tb 0.1394 0.0842 0.5968
Tb 0.2804 0.1477 0.1969
Tb 0.3920 0.4415 0.3975
Tb 0.4683 0.7486 0.5960
Tb 0.5739 0.0592 0.8017
Tb 0.6789 0.3687 0.9959
Tb 0.8272 0.4209 0.5833
Sm 0.2387 0.3716 0.8118
Sm 0.5525 0.7829 0.1652
Sm 0.7222 0.1259 0.3666
Y 0.0262 0.7913 0.3948
Y 0.9071 0.7178 0.7985

Computed powder diffraction line list of Tb5Sm2Y4 for copper Kα, from a cell relaxed with GGA-PBE.
Peak positions follow from Bragg's law for the DFT cell and can differ from measured ones.

Principal peaks in the range 2θ from 10° to 90°, low angle first:
d = 5.310 Å, 2θ 16.7, I 36; d = 3.019 Å, 2θ 29.6, I 74; d = 3.009 Å, 2θ 29.7, I 63; d = 2.957 Å, 2θ 30.2, I 60; d = 2.827 Å, 2θ 31.7, I 92; d = 2.784 Å, 2θ 32.2, I 81; d = 2.761 Å, 2θ 32.4, I 40; d = 2.726 Å, 2θ 32.9, I 100; d = 2.714 Å, 2θ 33.0, I 93; d = 1.598 Å, 2θ 57.7, I 57

Structural model:
a b c (Å): 11.1349 7.3377 9.3230
angles (deg): 90.00 107.93 90.00
Space group C2/m (No. 12)
Inequivalent atoms, fractional coordinates:
Tb 0.0000 0.0000 0.0000
Tb 0.0656 0.2805 0.2761
Sm 0.1461 0.0000 0.6227
Y 0.1724 0.5000 0.6248
Y 0.1833 0.5000 0.0004

Computed powder diffraction line list of TbSm3Y2 for copper Kα, from a cell relaxed with GGA-PBE.
Peak positions follow from Bragg's law for the DFT cell and can differ from measured ones.

Principal peaks in the range 2θ from 10° to 90°, low angle first:
d = 3.119 Å, 2θ 28.6, I 43; d = 2.898 Å, 2θ 30.9, I 48; d = 2.830 Å, 2θ 31.6, I 100; d = 2.691 Å, 2θ 33.3, I 87; d = 2.262 Å, 2θ 39.8, I 19; d = 1.814 Å, 2θ 50.3, I 37; d = 1.691 Å, 2θ 54.2, I 22; d = 1.603 Å, 2θ 57.5, I 18; d = 1.537 Å, 2θ 60.2, I 43; d = 1.527 Å, 2θ 60.6, I 15

Structural model:
a b c (Å): 7.2526 7.2546 8.9457
angles (deg): 78.23 78.28 60.02
Space group P-1 (No. 2)
Inequivalent atoms, fractional coordinates:
Tb 0.2496 0.2501 0.0004
Sm 0.1393 0.1383 0.6664
Sm 0.2502 0.7499 0.9995
Sm 0.3607 0.8618 0.3330
Y 0.1394 0.6377 0.6673
Y 0.3603 0.3619 0.3335

Computed powder diffraction line list of TbSm7Y3 for copper Kα, from a cell relaxed with GGA-PBE.
Peak positions follow from Bragg's law for the DFT cell and can differ from measured ones.

Principal peaks in the range 2θ from 10° to 90°, low angle first:
d = 3.602 Å, 2θ 24.7, I 16; d = 3.551 Å, 2θ 25.1, I 15; d = 2.860 Å, 2θ 31.3, I 100; d = 2.852 Å, 2θ 31.4, I 26; d = 2.819 Å, 2θ 31.7, I 56; d = 2.730 Å, 2θ 32.8, I 42; d = 1.996 Å, 2θ 45.4, I 18; d = 1.775 Å, 2θ 51.5, I 14; d = 1.634 Å, 2θ 56.3, I 25; d = 1.502 Å, 2θ 61.8, I 17

Structural model:
a b c (Å): 7.1012 5.6343 10.0005
angles (deg): 90.00 110.59 90.00
Space group P2/m (No. 10)
Inequivalent atoms, fractional coordinates:
Tb 0.0000 0.0000 0.0000
Sm 0.0845 0.0000 0.6704
Sm 0.1793 0.5000 0.8590
Sm 0.3530 0.5000 0.2065
Sm 0.5000 0.0000 0.5000
Y 0.2219 0.5000 0.5007
Y 0.5000 0.0000 0.0000

Computed powder diffraction line list of Tb3Sm2Y3 for copper Kα, from a cell relaxed with GGA-PBE.
Peak positions follow from Bragg's law for the DFT cell and can differ from measured ones.

Principal peaks in the range 2θ from 10° to 90°, low angle first:
d = 3.162 Å, 2θ 28.2, I 24; d = 2.856 Å, 2θ 31.3, I 24; d = 2.766 Å, 2θ 32.4, I 100; d = 2.119 Å, 2θ 42.7, I 16; d = 1.825 Å, 2θ 50.0, I 20; d = 1.631 Å, 2θ 56.4, I 20; d = 1.538 Å, 2θ 60.2, I 22; d = 1.524 Å, 2θ 60.8, I 16; d = 1.170 Å, 2θ 82.5, I 14; d = 1.125 Å, 2θ 86.5, I 8

Structural model:
a b c (Å): 5.7127 14.6081 6.3209
angles (deg): 90.00 90.00 90.00
Space group Pmmn (No. 59, origin choice 2)
Inequivalent atoms, fractional coordinates:
Tb 0.2500 0.1252 0.1626
Tb 0.2500 0.7500 0.6719
Sm 0.2500 0.6253 0.1690
Y 0.2500 0.2500 0.6595
Y 0.2500 0.5009 0.6670